[1]
Simulated XRD peak list of LiTlI2 for Cu Kα (λ = 1.5418 Å), from a structure optimized by DFT (PBE).

Crystal structure
Lattice parameters (Å, degrees): 4.5656 8.0454 17.0819 90.00 90.00 90.00
Space group P2_12_12_1 (No. 19)
Symmetry-distinct sites (fractional):
Li 0.0006 0.1384 0.0561 x4
Tl 0.9996 0.2917 0.6628 x4
I 0.0004 0.0201 0.2053 x4
I 0.0006 0.4794 0.0225 x4

The 10 most intense peaks (2θ from 5° to 70°), by angle:
d 7.278, I = 27; d 4.648, I = 69; d 3.601, I = 68; d 3.257, I = 100; d 2.972, I = 94; d 2.928, I = 37; d 2.908, I = 28; d 2.735, I = 40; d 2.283, I = 30; d 1.800, I = 28

***

[2]
Simulated XRD peak list of ErHf2Zn9 for Cu Kα (λ = 1.5418 Å), from a structure optimized by DFT (PBE).

Crystal structure
Lattice parameters (Å, degrees): 5.2640 5.2640 25.0133 90.00 90.00 120.00
Space group R-3m (No. 166, hexagonal axes)
Symmetry-distinct sites (fractional):
Er 0.0000 0.0000 0.0000 x3
Hf 0.0000 0.0000 0.1438 x6
Zn 0.0000 0.0000 0.3353 x6
Zn 0.0000 0.0000 0.5000 x3
Zn 0.0080 0.5040 0.9145 x18

The 10 most intense peaks (2θ from 5° to 70°), by angle:
d 2.812, I = 38; d 2.632, I = 50; d 2.578, I = 28; d 2.270, I = 35; d 2.226, I = 100; d 2.142, I = 12; d 2.084, I = 14; d 2.074, I = 13; d 1.552, I = 14; d 1.428, I = 24

***

[3]
Simulated XRD peak list of AcBi3Pb for Cu Kα (λ = 1.5418 Å), from a structure optimized by DFT (PBE).

Crystal structure
Lattice parameters (Å, degrees): 15.2133 6.6318 6.8749 90.00 90.00 90.00
Space group Pbcm (No. 57)
Symmetry-distinct sites (fractional):
Ac 0.1765 0.0011 0.2500 x4
Bi 0.0014 0.7500 0.0000 x4
Bi 0.2301 0.0027 0.7500 x4
Bi 0.4052 0.2247 0.2500 x4
Pb 0.3915 0.7500 0.0000 x4

The 10 most intense peaks (2θ from 5° to 70°), by angle:
d 3.132, I = 33; d 3.041, I = 100; d 2.992, I = 15; d 2.845, I = 31; d 2.832, I = 30; d 2.775, I = 39; d 2.615, I = 24; d 2.387, I = 26; d 1.878, I = 15; d 1.496, I = 25

***

[4]
Simulated XRD peak list of BeB2Pt6 for Cu Kα (λ = 1.5418 Å), from a structure optimized by DFT (PBE).

Crystal structure
Lattice parameters (Å, degrees): 12.0503 8.0148 5.5552 90.00 116.09 90.00
Space group C2/c (No. 15)
Symmetry-distinct sites (fractional):
Be 0.0000 0.0191 0.2500 x4
B 0.2463 0.4071 0.3665 x8
Pt 0.0947 0.1979 0.6300 x8
Pt 0.1148 0.4795 0.9690 x8
Pt 0.1617 0.1478 0.1870 x8

The 10 most intense peaks (2θ from 5° to 70°), by angle:
d 2.777, I = 43; d 2.706, I = 81; d 2.594, I = 100; d 2.537, I = 65; d 2.348, I = 25; d 2.308, I = 43; d 2.282, I = 31; d 2.146, I = 98; d 2.089, I = 46; d 1.403, I = 21

***

[5]
Simulated XRD peak list of TmBeZn2Au4 for Cu Kα (λ = 1.5418 Å), from a structure optimized by DFT (PBE).

Crystal structure
Lattice parameters (Å, degrees): 4.4847 4.4847 23.7758 90.00 90.00 120.00
Space group R-3m (No. 166, hexagonal axes)
Symmetry-distinct sites (fractional):
Tm 0.0000 0.0000 0.0000 x3
Be 0.0000 0.0000 0.5000 x3
Zn 0.0000 0.0000 0.2511 x6
Au 0.0000 0.0000 0.1345 x6
Au 0.0000 0.0000 0.3975 x6

The 10 most intense peaks (2θ from 5° to 70°), by angle:
d 3.251, I = 35; d 3.008, I = 24; d 2.557, I = 45; d 2.360, I = 66; d 2.242, I = 100; d 1.889, I = 12; d 1.686, I = 13; d 1.626, I = 21; d 1.585, I = 8; d 1.347, I = 12

***

[6]
Simulated XRD peak list of PmNd2Cu6 for Cu Kα (λ = 1.5418 Å), from a structure optimized by DFT (PBE).

Crystal structure
Lattice parameters (Å, degrees): 7.4193 7.4193 3.7441 90.00 90.00 120.00
Space group P6/mmm (No. 191)
Symmetry-distinct sites (fractional):
Pm 0.0000 0.0000 0.0000 x1
Nd 0.3333 0.6667 0.0000 x2
Cu 0.0000 0.3328 0.5000 x6

The 9 most intense peaks (2θ from 5° to 70°), by angle:
d 3.710, I = 15; d 2.635, I = 100; d 2.142, I = 48; d 1.872, I = 10; d 1.855, I = 2; d 1.671, I = 3; d 1.662, I = 24; d 1.410, I = 24; d 1.402, I = 2

***

- Number 5 is which compound?
  TmBeZn2Au4